This entry pairs a crystal structure of Dy2TmIn5 with its simulated X-ray diffraction stick pattern. Radiation: copper Kα. Structure: a structure optimized by DFT (GGA-PBE).
No peak broadening, texture or thermal motion is included.

Principal peaks in the range 10 to 90 degrees two-theta, low angle first:
Position (°2θ), d (Å), I (rel.)
33.3, 2.688, 100
36.1, 2.489, 44
43.5, 2.082, 11
51.9, 1.760, 13
57.7, 1.597, 22
63.1, 1.473, 27

Atomic structure:
```
Dy2TmIn5
1.0
-3.5206 3.5206 4.1635
3.5206 -3.5206 4.1635
3.5206 3.5206 -4.1635
Dy Tm In
2 1 5
direct
0.0000 0.5000 0.5000
0.5000 0.0000 0.5000
0.0802 0.0802 0.0000
0.4697 0.4697 0.0000
0.5402 0.5402 0.5641
0.5402 0.9761 0.0000
0.9761 0.5402 0.0000
0.9761 0.9761 0.4359
```

=====

This entry pairs a crystal structure of Dy3Tm9In2 with its simulated X-ray diffraction stick pattern. Radiation: copper Kα. Structure: a structure optimized by DFT (GGA-PBE).
No peak broadening, texture or thermal motion is included.

Principal peaks in the range 10 to 90 degrees two-theta, low angle first:
Position (°2θ), d (Å), I (rel.)
30.4, 2.944, 22
31.1, 2.873, 100
32.3, 2.769, 24
32.8, 2.728, 81
34.9, 2.568, 86
62.9, 1.477, 36

Atomic structure:
```
Dy3Tm9In2
1.0
-2.5671 6.0851 6.6796
2.5671 -6.0851 6.6796
2.5671 6.0851 -6.6796
Dy Tm In
3 9 2
direct
0.0000 0.0000 0.0000
0.2931 0.0000 0.2931
0.7069 0.0000 0.7069
0.0202 0.3852 0.6350
0.1292 0.2640 0.8653
0.2498 0.6148 0.6350
0.3987 0.2640 0.1347
0.5000 0.5000 0.0000
0.6013 0.7360 0.8653
0.7502 0.3852 0.3650
0.8708 0.7360 0.1347
0.9798 0.6148 0.3650
0.3395 0.8395 0.5000
0.6605 0.1605 0.5000
```

=====

This entry pairs a crystal structure of DyTmIn3 with its simulated X-ray diffraction stick pattern. Radiation: copper Kα. Structure: a structure optimized by DFT (GGA-PBE).
No peak broadening, texture or thermal motion is included.

Principal peaks in the range 10 to 90 degrees two-theta, low angle first:
Position (°2θ), d (Å), I (rel.)
15.8, 5.610, 99
30.8, 2.902, 78
31.9, 2.805, 71
32.5, 2.754, 100
36.7, 2.446, 55
40.4, 2.233, 80

Atomic structure:
```
DyTmIn3
1.0
-2.9020 2.9020 10.9481
2.9020 -2.9020 10.9481
2.9020 2.9020 -10.9481
Dy Tm In
2 2 6
direct
0.0000 0.0000 0.0000
0.7500 0.2500 0.5000
0.4198 0.4198 0.0000
0.5802 0.5802 0.0000
0.0084 0.5084 0.5000
0.3748 0.1272 0.2477
0.4916 0.9916 0.5000
0.8728 0.1205 0.2477
0.8728 0.6252 0.7523
0.8795 0.1272 0.7523
```

=====

This entry pairs a crystal structure of DyY4In3 with its simulated X-ray diffraction stick pattern. Radiation: copper Kα. Structure: a structure optimized by DFT (GGA-PBE).
No peak broadening, texture or thermal motion is included.

Principal peaks in the range 10 to 90 degrees two-theta, low angle first:
Position (°2θ), d (Å), I (rel.)
32.6, 2.743, 87
33.4, 2.683, 100
47.4, 1.918, 30
59.2, 1.561, 31
59.7, 1.549, 18
79.5, 1.205, 13

Atomic structure:
```
DyY4In3
1.0
2.6834 1.5493 9.0618
-2.6834 1.5493 9.0618
0.0000 -3.0985 9.0618
Dy Y In
1 4 3
direct
0.0000 0.0000 0.0000
0.1295 0.1295 0.1295
0.3858 0.3858 0.3858
0.6142 0.6142 0.6142
0.8705 0.8705 0.8705
0.2634 0.2634 0.2634
0.5000 0.5000 0.5000
0.7366 0.7366 0.7366
```

=====

This entry pairs a crystal structure of Dy5Y2In with its simulated X-ray diffraction stick pattern. Radiation: copper Kα. Structure: a structure optimized by DFT (GGA-PBE).
No peak broadening, texture or thermal motion is included.

Principal peaks in the range 10 to 90 degrees two-theta, low angle first:
Position (°2θ), d (Å), I (rel.)
31.3, 2.856, 100
35.7, 2.515, 17
36.6, 2.453, 33
52.1, 1.756, 23
61.4, 1.509, 14
62.7, 1.482, 27

Atomic structure:
```
Dy5Y2In
1.0
-2.4530 2.4530 10.0583
2.4530 -2.4530 10.0583
2.4530 2.4530 -10.0583
Dy Y In
5 2 1
direct
0.0000 0.0000 0.0000
0.1213 0.6213 0.5000
0.3787 0.8787 0.5000
0.6213 0.1213 0.5000
0.8787 0.3787 0.5000
0.2461 0.2461 0.0000
0.7539 0.7539 0.0000
0.5000 0.5000 0.0000
```

=====

This entry pairs a crystal structure of DyY4In with its simulated X-ray diffraction stick pattern. Radiation: copper Kα. Structure: a structure optimized by DFT (GGA-PBE).
No peak broadening, texture or thermal motion is included.

Principal peaks in the range 10 to 90 degrees two-theta, low angle first:
Position (°2θ), d (Å), I (rel.)
32.0, 2.800, 46
32.1, 2.790, 85
32.2, 2.777, 100
32.6, 2.747, 51
46.3, 1.961, 32
57.9, 1.593, 33

Atomic structure:
```
DyY4In
1.0
5.4940 0.0000 0.0000
0.0000 6.8748 0.0000
0.0000 0.0000 9.6541
Dy Y In
2 8 2
direct
0.2500 0.2500 0.0727
0.7500 0.7500 0.9273
0.2500 0.2500 0.4192
0.2500 0.5053 0.7481
0.2500 0.7500 0.1072
0.2500 0.9947 0.7481
0.7500 0.0053 0.2519
0.7500 0.2500 0.8928
0.7500 0.4947 0.2519
0.7500 0.7500 0.5808
0.2500 0.7500 0.4281
0.7500 0.2500 0.5719
```

=====

This entry pairs a crystal structure of Dy3YIn3 with its simulated X-ray diffraction stick pattern. Radiation: copper Kα. Structure: a structure optimized by DFT (GGA-PBE).
No peak broadening, texture or thermal motion is included.

Principal peaks in the range 10 to 90 degrees two-theta, low angle first:
Position (°2θ), d (Å), I (rel.)
30.3, 2.947, 100
36.1, 2.490, 73
47.8, 1.902, 19
49.9, 1.827, 21
61.3, 1.512, 26
64.9, 1.438, 15

Atomic structure:
```
Dy3YIn3
1.0
9.3177 0.0000 0.0000
0.0000 9.3177 0.0000
0.0000 0.0000 9.3177
Dy Y In
12 4 12
direct
0.0754 0.4246 0.5754
0.1752 0.1752 0.1752
0.1752 0.8248 0.3248
0.3248 0.1752 0.8248
0.3249 0.8248 0.6752
0.4246 0.5754 0.0754
0.5754 0.0754 0.4246
0.6752 0.3249 0.8248
0.6752 0.6752 0.6752
0.8248 0.3248 0.1752
0.8248 0.6752 0.3249
0.9246 0.9246 0.9246
0.0732 0.5732 0.9268
0.4268 0.4268 0.4268
0.5732 0.9268 0.0732
0.9268 0.0732 0.5732
0.9995 0.2485 0.8744
0.0005 0.7485 0.6256
0.1256 0.4995 0.2515
0.2485 0.8744 0.9995
0.2515 0.1256 0.4995
0.3744 0.5005 0.7515
0.4995 0.2515 0.1256
0.5005 0.7515 0.3744
0.6256 0.0005 0.7485
0.7485 0.6256 0.0005
0.7515 0.3744 0.5005
0.8744 0.9995 0.2485
```

=====

This entry pairs a crystal structure of Dy4Y3In with its simulated X-ray diffraction stick pattern. Radiation: copper Kα. Structure: a structure optimized by DFT (GGA-PBE).
No peak broadening, texture or thermal motion is included.

Principal peaks in the range 10 to 90 degrees two-theta, low angle first:
Position (°2θ), d (Å), I (rel.)
29.2, 3.056, 24
32.0, 2.800, 37
33.1, 2.704, 50
33.4, 2.683, 100
51.4, 1.777, 19
61.9, 1.500, 21

Atomic structure:
```
Dy4Y3In
1.0
11.1991 0.0000 0.0000
0.0000 7.0343 0.0000
0.0000 0.0000 6.1754
Dy Y In
8 6 2
direct
0.0000 0.1239 0.0000
0.0000 0.8694 0.4688
0.2369 0.8733 0.8214
0.2631 0.1267 0.3214
0.5000 0.1306 0.9688
0.5000 0.8761 0.5000
0.7369 0.1267 0.3214
0.7631 0.8733 0.8214
0.0000 0.3707 0.4683
0.2420 0.3821 0.8037
0.2580 0.6179 0.3037
0.5000 0.6293 0.9683
0.7420 0.6179 0.3037
0.7580 0.3821 0.8037
0.0000 0.6213 0.9825
0.5000 0.3787 0.4825
```